The following is a calculated powder X-ray diffraction pattern of BaCdTcO4. It was derived from a crystal structure in Alexandria, relaxed with PBE, using CuKα.
Neutral-atom scattering factors, no anomalous dispersion.

Top 10 peaks for 10° ≤ 2θ ≤ 90°, in order of falling intensity:
d/Å, I/Imax
3.272, 100
1.889, 40
5.343, 33
1.237, 20
1.463, 17
1.636, 17
4.627, 16
2.313, 13
2.790, 12
1.091, 11

Atomic structure:
Lattice parameters (Å, degrees): 6.544 6.544 6.544 60.00 60.00 60.00
Atoms (fractional coordinates):
Ba: 0.000 0.000 0.000
Cd: 0.250 0.250 0.250
Tc: 0.500 0.500 0.500
O: 0.385 0.385 0.385
O: 0.385 0.385 0.844
O: 0.385 0.844 0.385
O: 0.844 0.385 0.385